Diffraction record for Nb8Co2Sb4Pd. The powder diffraction line list is calculated, not measured: it uses DFT lattice parameters and positions (PBE) and Cu Ka.
Kinematic intensities with the Lorentz-polarization factor, no thermal factor.

Atomic structure:
Cell: 10.575 10.575 4.942 Å, 90.00 90.00 90.00°
Space group I-42m (No. 121)
One atom of each set of equivalent atoms:
1 Nb 0.079 0.297 0.244
2 Co 0.000 0.500 0.000
3 Sb 0.152 0.152 0.724
4 Pd 0.000 0.000 0.000

Most intense lines, 10 to 90 degrees two-theta, in order of rising 2θ:
d/Å  2θ/deg  I_rel  index
3.417  26.08  20.0  2 1 1
2.522  35.60  69.5  3 2 1
2.471  36.36  26.8  0 0 2
2.365  38.06  31.3  4 2 0
2.276  39.59  100.0  4 1 1
2.239  40.29  20.2  2 0 2
2.061  43.92  18.5  2 2 2
1.805  50.56  14.9  4 0 2
1.496  62.06  13.3  7 1 0
1.386  67.59  18.0  4 1 3
1.279  74.11  16.4  7 1 2
1.261  75.36  15.2  6 4 2

***

Diffraction record for BaDy2CuO5. The powder diffraction line list is calculated, not measured: it uses DFT lattice parameters and positions (PBE) and Cu Ka.
Kinematic intensities with the Lorentz-polarization factor, no thermal factor.

Atomic structure:
Cell: 12.266 5.705 7.234 Å, 90.00 90.00 90.00°
Space group Pnma (No. 62)
One atom of each set of equivalent atoms:
1 Ba 0.096 0.250 0.067
2 Dy 0.074 0.750 0.396
3 Dy 0.213 0.250 0.611
4 Cu 0.161 0.750 0.780
5 O 0.068 0.505 0.661
6 O 0.099 0.750 0.083
7 O 0.228 0.004 0.353

Most intense lines, 10 to 90 degrees two-theta, in order of rising 2θ:
d/Å  2θ/deg  I_rel  index
3.020  29.58  100.0  3 1 1
2.964  30.15  60.3  1 1 2
2.853  31.36  46.0  0 2 0
2.823  31.69  20.8  4 0 1
2.243  40.20  15.5  2 0 3
2.007  45.19  28.6  4 2 1
1.965  46.21  15.0  3 2 2
1.764  51.84  11.5  2 2 3
1.677  54.72  17.7  3 3 1
1.668  55.07  11.5  1 3 2
1.579  58.47  15.6  4 2 3
1.520  60.96  14.1  7 1 2

***

Diffraction record for BPd3. The powder diffraction line list is calculated, not measured: it uses DFT lattice parameters and positions (PBE) and Cu Ka.
Kinematic intensities with the Lorentz-polarization factor, no thermal factor.

Atomic structure:
Cell: 5.535 7.709 4.898 Å, 90.00 90.00 90.00°
Space group Pnma (No. 62)
One atom of each set of equivalent atoms:
1 B 0.112 0.250 0.066
2 Pd 0.039 0.750 0.342
3 Pd 0.179 0.572 0.826

Most intense lines, 10 to 90 degrees two-theta, in order of rising 2θ:
d/Å  2θ/deg  I_rel  index
2.657  33.73  25.2  1 2 1
2.605  34.43  26.6  2 1 0
2.449  36.70  21.7  0 0 2
2.300  39.17  47.6  2 1 1
2.275  39.61  100.0  0 3 1
2.248  40.11  41.4  2 2 0
2.239  40.27  40.8  1 0 2
2.151  42.01  39.7  1 1 2
2.105  42.98  23.7  1 3 1
2.043  44.34  36.1  2 2 1
1.337  70.41  21.3  1 3 3
1.278  74.18  22.8  3 3 2

***

Diffraction record for Sr2MgTi2S6. The powder diffraction line list is calculated, not measured: it uses DFT lattice parameters and positions (PBE) and Cu Ka.
Kinematic intensities with the Lorentz-polarization factor, no thermal factor.

Atomic structure:
Cell: 12.424 6.933 5.994 Å, 90.00 106.92 90.00°
Space group Cm (No. 8)
One atom of each set of equivalent atoms:
1 Sr 0.000 0.000 0.000
2 Sr 0.212 0.500 0.416
3 Mg 0.047 0.500 0.837
4 Ti 0.294 0.000 0.807
5 Ti 0.300 0.000 0.311
6 S 0.140 0.000 0.466
7 S 0.210 0.254 0.999
8 S 0.398 0.235 0.617
9 S 0.468 0.000 0.167

Most intense lines, 10 to 90 degrees two-theta, in order of rising 2θ:
d/Å  2θ/deg  I_rel  index
4.900  18.10  70.0  2 0 -1
3.467  25.70  55.7  0 2 0
3.440  25.90  46.9  3 1 0
3.346  26.64  40.7  3 1 -1
2.970  30.09  37.5  4 0 0
2.830  31.62  78.3  2 2 -1
2.748  32.59  41.9  1 1 -2
2.541  35.33  37.0  3 1 -2
2.508  35.81  100.0  2 2 1
2.322  38.78  30.3  5 1 -1
2.067  43.79  40.9  5 1 -2
1.733  52.83  40.4  0 4 0

***

Diffraction record for Na2MgS2O12. The powder diffraction line list is calculated, not measured: it uses DFT lattice parameters and positions (PBE) and Cu Ka.
Kinematic intensities with the Lorentz-polarization factor, no thermal factor.

Atomic structure:
Cell: 5.120 8.747 11.461 Å, 90.00 98.18 90.00°
Space group P2_1/c (No. 14)
One atom of each set of equivalent atoms:
1 Na 0.120 0.070 0.362
2 Mg 0.000 0.000 0.000
3 S 0.375 0.211 0.640
4 O 0.081 0.506 0.332
5 O 0.110 0.693 0.599
6 O 0.229 0.086 0.575
7 O 0.303 0.139 0.083
8 O 0.333 0.216 0.767
9 O 0.335 0.685 0.854

Most intense lines, 10 to 90 degrees two-theta, in order of rising 2θ:
d/Å  2θ/deg  I_rel  index
4.759  18.64  88.6  0 1 2
4.384  20.26  96.9  1 1 0
4.079  21.79  50.2  1 0 -2
3.696  24.08  56.4  1 1 -2
3.467  25.70  28.7  0 2 2
3.311  26.93  100.0  1 2 0
3.279  27.19  76.0  1 1 2
3.261  27.35  25.1  1 2 -1
2.983  29.96  29.0  1 2 -2
2.836  31.55  42.4  0 0 4
2.147  42.08  28.2  0 4 1
2.035  44.53  20.5  1 3 3

***

Diffraction record for Rb3HS2O8. The powder diffraction line list is calculated, not measured: it uses DFT lattice parameters and positions (PBE) and Cu Ka.
Kinematic intensities with the Lorentz-polarization factor, no thermal factor.

Atomic structure:
Cell: 15.534 5.983 10.340 Å, 90.00 102.11 90.00°
Space group Cc (No. 9)
One atom of each set of equivalent atoms:
1 Rb 0.000 0.225 0.000
2 Rb 0.118 0.272 0.696
3 Rb 0.314 0.257 0.098
4 H 0.308 0.035 0.359
5 S 0.192 0.223 0.384
6 S 0.424 0.216 0.813
7 O 0.158 0.027 0.444
8 O 0.159 0.233 0.240
9 O 0.182 0.434 0.452
10 O 0.296 0.188 0.406
11 O 0.325 0.170 0.796
12 O 0.436 0.429 0.745
13 O 0.462 0.231 0.957
14 O 0.463 0.025 0.753

Most intense lines, 10 to 90 degrees two-theta, in order of rising 2θ:
d/Å  2θ/deg  I_rel  index
3.431  25.97  95.0  3 1 1
3.398  26.23  47.7  4 0 -2
2.988  29.90  100.0  1 1 -3
2.531  35.47  14.7  6 0 0
2.362  38.10  13.3  2 2 2
2.260  39.89  19.7  2 0 4
2.245  40.16  29.7  4 2 -2
2.094  43.20  8.7  6 0 2
2.081  43.50  17.0  7 1 -1
1.803  50.61  10.7  2 2 4
1.789  51.06  8.3  5 1 -5
1.493  62.19  16.7  2 2 -6

***

Diffraction record for U2NCl2. The powder diffraction line list is calculated, not measured: it uses DFT lattice parameters and positions (PBE) and Cu Ka.
Kinematic intensities with the Lorentz-polarization factor, no thermal factor.

Atomic structure:
Cell: 3.442 3.442 12.996 Å, 90.00 90.00 90.00°
Space group P4/mmm (No. 123)
One atom of each set of equivalent atoms:
1 U 0.000 0.000 0.153
2 N 0.000 0.000 0.000
3 Cl 0.000 0.000 0.343

Most intense lines, 10 to 90 degrees two-theta, in order of rising 2θ:
d/Å  2θ/deg  I_rel  index
6.498  13.63  21.7  0 0 2
4.332  20.50  34.9  0 0 3
3.442  25.88  100.0  1 0 0
3.327  26.79  33.5  1 0 1
3.249  27.45  21.3  0 0 4
2.695  33.24  45.3  1 0 3
2.434  36.93  39.4  1 1 0
2.363  38.09  36.3  1 0 4
2.122  42.61  24.0  1 1 3
1.948  46.63  20.6  1 1 4
1.833  49.73  26.1  1 0 6
1.539  60.11  19.1  2 1 0

***

Diffraction record for InC. The powder diffraction line list is calculated, not measured: it uses DFT lattice parameters and positions (PBE) and Cu Ka.
Kinematic intensities with the Lorentz-polarization factor, no thermal factor.

Atomic structure:
Cell: 3.6353 3.6353 6.0614 Å, 90.00 90.00 120.00°
Space group P6_3mc (No. 186)
One atom of each set of equivalent atoms:
1 In 0.3333 0.6667 0.0000
2 C 0.3333 0.6667 0.6323

Most intense lines, 10 to 90 degrees two-theta, in order of rising 2θ:
d/Å  2θ/deg  I_rel  index
3.148  28.35  31.4  1 0 0
3.031  29.47  31.1  0 0 2
2.794  32.04  100.0  1 0 1
2.183  41.35  18.4  1 0 2
1.818  50.19  24.1  1 1 0
1.700  53.92  28.1  1 0 3
1.559  59.28  24.6  1 1 2
1.524  60.79  15.6  2 0 1
1.242  76.75  9.5  2 0 3
1.168  82.64  13.0  2 1 1
1.164  82.96  8.2  1 1 4
1.131  85.91  7.0  1 0 5